Starting from a structure optimized by DFT (GGA-PBE), the powder X-ray diffraction pattern of Tb4NdSm8 was calculated for a wavelength of 1.5418 Å.
Lines closer than 0.1° are merged.

Atomic structure:
Unit cell a=10.217 b=10.217 c=10.217 alpha=42.35 beta=42.35 gamma=42.35
Atoms (fractional coordinates):
Tb (0.000, 0.000, 0.000)
Tb (0.000, 0.500, 0.500)
Tb (0.500, 0.000, 0.500)
Tb (0.500, 0.500, 0.000)
Nd (0.500, 0.500, 0.500)
Sm (0.198, 0.751, 0.751)
Sm (0.217, 0.217, 0.217)
Sm (0.249, 0.249, 0.802)
Sm (0.249, 0.802, 0.249)
Sm (0.751, 0.198, 0.751)
Sm (0.751, 0.751, 0.198)
Sm (0.783, 0.783, 0.783)
Sm (0.802, 0.249, 0.249)

Principal peaks in the range 10 to 90 degrees two-theta, low angle first:
two_theta	Rel. int.
28.10	17
28.84	29
30.78	100
32.29	39
38.22	31
49.39	30
51.33	17
58.20	21
59.33	14
60.25	11